Computed powder diffractogram of KZnIr for Cu Kα (weighted mean of Kα1 and Kα2), from a crystal structure in OQMD, relaxed with GGA-PBE.
Neutral-atom scattering factors, no anomalous dispersion.

Structure:
```
data_KZnIr
_space_group_name_H-M_alt 'P 1'
_space_group_IT_number 1
_cell_length_a 4.614
_cell_length_b 4.614
_cell_length_c 4.614
_cell_angle_alpha 60.00
_cell_angle_beta 60.00
_cell_angle_gamma 60.00
loop_
_space_group_symop_operation_xyz
'x,y,z'
loop_
_atom_site_label
_atom_site_fract_x
_atom_site_fract_y
_atom_site_fract_z
K1 0.000 0.000 0.000
Zn1 0.500 0.500 0.500
Ir1 0.250 0.250 0.250
```

Peak list (6 most intense, 2θ = 10–90°, sorted by position)
- 2θ 23.62, d 3.767, I 98.7
- 2θ 39.04, d 2.307, I 100.0
- 2θ 46.14, d 1.967, I 51.1
- 2θ 61.99, d 1.497, I 21.4
- 2θ 70.73, d 1.332, I 33.6
- 2θ 88.68, d 1.103, I 16.8